Structure and theoretical X-ray powder pattern of Cd4W2O9 (DFT lattice parameters and positions (GGA+U); Cu Ka).
Lines closer than 0.1° are merged.

Peak list (8 most intense, 5° ≤ 2θ ≤ 70°, most intense first)
| 2θ/deg | d [Å] | I (rel.) |
| --- | --- | --- |
| 29.74 | 3.004 | 100 |
| 31.37 | 2.852 | 97 |
| 30.58 | 2.924 | 46 |
| 32.11 | 2.788 | 41 |
| 44.93 | 2.018 | 33 |
| 55.82 | 1.647 | 32 |
| 56.77 | 1.622 | 22 |
| 42.58 | 2.123 | 21 |

Atomic structure:
Unit cell a=5.7115 b=5.7115 c=15.0045 alpha=92.52 beta=92.52 gamma=58.43
Fractional positions:
1 Cd 0.1491 0.1787 0.0275
2 Cd 0.1508 0.1925 0.3057
3 Cd 0.1787 0.1491 0.5275
4 Cd 0.1925 0.1508 0.8057
5 Cd 0.8075 0.8492 0.1943
6 Cd 0.8213 0.8509 0.4725
7 Cd 0.8492 0.8075 0.6943
8 Cd 0.8509 0.8213 0.9725
9 W 0.4796 0.5201 0.1483
10 W 0.4799 0.5204 0.3517
11 W 0.5201 0.4796 0.6483
12 W 0.5204 0.4799 0.8517
13 O 0.1409 0.5664 0.0840
14 O 0.1763 0.5131 0.4056
15 O 0.2066 0.7587 0.5918
16 O 0.2132 0.7868 0.2500
17 O 0.2413 0.7934 0.9082
18 O 0.2644 0.4673 0.7482
19 O 0.4336 0.8591 0.4160
20 O 0.4673 0.2644 0.2482
21 O 0.4869 0.8237 0.0944
22 O 0.5131 0.1763 0.9056
23 O 0.5327 0.7356 0.7518
24 O 0.5664 0.1409 0.5840
25 O 0.7356 0.5327 0.2518
26 O 0.7587 0.2066 0.0918
27 O 0.7868 0.2132 0.7500
28 O 0.7934 0.2413 0.4082
29 O 0.8237 0.4869 0.5944
30 O 0.8591 0.4336 0.9160